Diffraction record for KMgMn2AlGe3O10F2. The X-ray diffraction stick pattern is computed, not measured: it uses a PBE+U-relaxed structure and Cu Kα (λ = 1.5418 Å).

Main lines, low angle first (2θ from 10° to 90°):
2theta	I/Imax
18.62	40
23.09	26
24.98	54
25.22	53
27.05	32
29.04	33
32.66	100
35.18	40
37.99	30
57.31	33

Structure:
a b c (Å): 5.563 5.564 10.766
angles (deg): 95.29 95.00 119.89
Space group P1 (No. 1)
Symmetry-distinct sites (fractional):
K1 0.000 0.000 0.000 [1 per cell]
Mg1 0.186 0.837 0.536 [1 per cell]
Mn1 0.509 0.504 0.539 [1 per cell]
Mn2 0.854 0.182 0.539 [1 per cell]
Al1 0.270 0.601 0.803 [1 per cell]
Ge1 0.422 0.753 0.259 [1 per cell]
Ge2 0.602 0.263 0.808 [1 per cell]
Ge3 0.758 0.422 0.259 [1 per cell]
O1 0.066 0.623 0.190 [1 per cell]
O2 0.217 0.553 0.635 [1 per cell]
O3 0.390 0.954 0.868 [1 per cell]
O4 0.472 0.805 0.424 [1 per cell]
O5 0.505 0.502 0.193 [1 per cell]
O6 0.527 0.523 0.861 [1 per cell]
O7 0.538 0.195 0.638 [1 per cell]
O8 0.630 0.064 0.194 [1 per cell]
O9 0.820 0.481 0.424 [1 per cell]
O10 0.956 0.380 0.861 [1 per cell]
F1 0.146 0.112 0.432 [1 per cell]
F2 0.900 0.870 0.629 [1 per cell]